Theoretical powder diffractogram
Compound: Ti2Pb3O7
Radiation: λ = 1.5418 Å (Cu Kα)
Structure: the GGA-PBE geometry in Alexandria
Neutral-atom scattering factors, no anomalous dispersion.

Most intense lines, 2θ = 5–70°, low angle first:
3.891 Å, 2θ 22.9, I = 35
3.487 Å, 2θ 25.5, I = 17
2.876 Å, 2θ 31.1, I = 100
2.800 Å, 2θ 32.0, I = 58
2.183 Å, 2θ 41.4, I = 34
2.092 Å, 2θ 43.2, I = 11
1.980 Å, 2θ 45.8, I = 30
1.722 Å, 2θ 53.2, I = 10
1.715 Å, 2θ 53.4, I = 16
1.676 Å, 2θ 54.8, I = 15
1.631 Å, 2θ 56.4, I = 39
1.438 Å, 2θ 64.8, I = 13

Structure:
Cell: 10.830 10.830 10.830 Å, 158.93 158.93 29.97°
Fractional positions:
Ti (0.097, 0.097, 0.000)
Ti (0.903, 0.903, 0.000)
Pb (0.314, 0.314, 0.000)
Pb (0.500, 0.500, 0.000)
Pb (0.686, 0.686, 0.000)
O (0.000, 0.000, 0.000)
O (0.096, 0.596, 0.500)
O (0.191, 0.191, 0.000)
O (0.404, 0.904, 0.500)
O (0.596, 0.096, 0.500)
O (0.809, 0.809, 0.000)
O (0.904, 0.404, 0.500)